1.
Diffraction record for PmTh2MnC4. The X-ray diffraction stick pattern is theoretical, not measured: it uses a DFT-relaxed cell (GGA-PBE, Alexandria) and a wavelength of 1.5418 Å.
Peak positions follow from Bragg's law for the DFT cell and can differ from measured ones.

Main lines, sorted by position (15° ≤ 2θ ≤ 90°):
2θ/deg  I_rel
26.0  543
28.6  192
29.5  1000
33.3  130
34.1  194
36.3  459
39.1  141
44.8  229
49.8  177
50.4  239

Crystal structure
Cell lengths 6.314, 6.314, 12.470 Å; angles 90.00, 90.00, 146.69 degrees
Fractional coordinates of all 16 atoms:
Pm 0.102 0.898 0.750
Pm 0.898 0.102 0.250
Th 0.367 0.633 0.545
Th 0.367 0.633 0.955
Th 0.633 0.367 0.045
Th 0.633 0.367 0.455
Mn 0.176 0.824 0.250
Mn 0.824 0.176 0.750
C 0.000 0.000 0.000
C 0.000 0.000 0.500
C 0.268 0.732 0.138
C 0.268 0.732 0.362
C 0.395 0.605 0.750
C 0.605 0.395 0.250
C 0.732 0.268 0.638
C 0.732 0.268 0.862

***

2.
Diffraction record for Ba3Pd2Rh2Pb4. The X-ray diffraction stick pattern is theoretical, not measured: it uses a DFT-relaxed cell (GGA-PBE, Alexandria) and a wavelength of 1.5418 Å.
Peak positions follow from Bragg's law for the DFT cell and can differ from measured ones.

Main lines, sorted by position (15° ≤ 2θ ≤ 90°):
2θ/deg  I_rel
24.0  232
26.8  747
30.3  605
34.3  274
37.2  292
37.8  1000
47.0  164
54.1  599
68.4  179
80.5  194

Crystal structure
Cell lengths 4.754, 4.754, 16.913 Å; angles 90.00, 90.00, 120.00 degrees
Fractional coordinates of all 11 atoms:
Ba 0.000 0.000 0.000
Ba 0.000 0.000 0.287
Ba 0.000 0.000 0.713
Pd 0.333 0.667 0.142
Pd 0.667 0.333 0.858
Rh 0.333 0.667 0.597
Rh 0.667 0.333 0.403
Pb 0.333 0.667 0.435
Pb 0.333 0.667 0.854
Pb 0.667 0.333 0.146
Pb 0.667 0.333 0.565